Starting from the PBE geometry in the Materials Project, the powder diffraction line list of ErScZn2 was simulated for Cu Kα X-rays.
Intensities are scaled so that the largest is 100.

Main lines, by angle (2θ = 15–90°):
2θ (°)  d_spacing  intensity  h k l
22.30  3.987  27  1 1 1
36.81  2.442  100  2 2 0
43.46  2.082  15  3 1 1
53.04  1.727  17  4 0 0
58.23  1.584  7  3 3 1
66.30  1.410  34  4 2 2
78.31  1.221  10  4 4 0
89.81  1.092  15  6 2 0

Structural model:
```
data_ErScZn2
_chemical_formula_sum 'Er4 Sc4 Zn8'
_cell_length_a 6.9065
_cell_length_b 6.9065
_cell_length_c 6.9065
_cell_angle_alpha 90.00
_cell_angle_beta 90.00
_cell_angle_gamma 90.00
_space_group_name_H-M_alt 'F m -3 m'
_space_group_IT_number 225
_space_group_name_Hall '-F 4 2 3'
loop_
_atom_site_label
_atom_site_fract_x
_atom_site_fract_y
_atom_site_fract_z
Er1 0.0000 0.0000 0.0000
Sc1 0.0000 0.0000 0.5000
Zn1 0.2500 0.2500 0.2500
```


Starting from the PBE geometry in the Materials Project, the powder diffraction line list of SiO2 was simulated for Cu Kα X-rays.
Intensities are scaled so that the largest is 100.

Main lines, by angle (2θ = 15–90°):
2θ (°)  d_spacing  intensity  h k l
21.50  4.133  100  1 0 1
27.82  3.207  8  1 1 1
30.72  2.910  10  1 0 2
35.31  2.542  14  2 0 0
35.54  2.526  6  1 1 2
45.92  1.976  5  1 1 3
47.49  1.915  6  2 1 2
55.77  1.648  6  3 0 1

Structural model:
```
data_SiO2
_chemical_formula_sum 'Si4 O8'
_cell_length_a 5.0844
_cell_length_b 5.0844
_cell_length_c 7.0978
_cell_angle_alpha 90.00
_cell_angle_beta 90.00
_cell_angle_gamma 90.00
_space_group_name_H-M_alt 'P 43 21 2'
_space_group_IT_number 96
loop_
_space_group_symop_operation_xyz
'x,y,z'
'-y+1/2,x+1/2,z+3/4'
'-x,-y,z+1/2'
'y+1/2,-x+1/2,z+1/4'
'x+1/2,-y+1/2,-z+1/4'
'-y,-x,-z+1/2'
'-x+1/2,y+1/2,-z+3/4'
'y,x,-z'
loop_
_atom_site_label
_atom_site_fract_x
_atom_site_fract_y
_atom_site_fract_z
Si1 0.2055 0.2055 0.0000
O1 0.0942 0.7590 0.5756
```


Starting from the PBE geometry in the Materials Project, the powder diffraction line list of BHPb2O4 was simulated for Cu Kα X-rays.
Intensities are scaled so that the largest is 100.

Main lines, by angle (2θ = 15–90°):
2θ (°)  d_spacing  intensity  h k l
23.37  3.807  22  1 1 1
23.97  3.713  32  2 0 1
25.52  3.491  83  3 1 -1
27.34  3.262  63  3 1 0
28.23  3.162  100  1 1 -2
30.56  2.926  55  0 2 0
37.62  2.391  41  4 0 -3
39.20  2.298  24  2 2 1

Structural model:
```
data_BHPb2O4
_chemical_formula_sum 'B4 H4 Pb8 O16'
_cell_length_a 13.1818
_cell_length_b 5.8511
_cell_length_c 7.6311
_cell_angle_alpha 90.00
_cell_angle_beta 116.59
_cell_angle_gamma 90.00
_space_group_name_H-M_alt 'C 1 2/m 1'
_space_group_IT_number 12
loop_
_space_group_symop_operation_xyz
'x,y,z'
'-x,-y,-z'
'-x,y,-z'
'x,-y,z'
'x+1/2,y+1/2,z'
'-x+1/2,-y+1/2,-z'
'-x+1/2,y+1/2,-z'
'x+1/2,-y+1/2,z'
loop_
_atom_site_label
_atom_site_fract_x
_atom_site_fract_y
_atom_site_fract_z
B1 0.1704 0.0000 0.1617
H1 0.0457 0.0000 0.8908
Pb1 0.0594 0.5000 0.7608
Pb2 0.1519 0.0000 0.5627
O1 0.0000 0.2471 0.5000
O2 0.0904 0.0000 0.2318
O3 0.1320 0.0000 0.9566
O4 0.2156 0.5000 0.7128
```


Starting from the PBE geometry in the Materials Project, the powder diffraction line list of YMgSbPb2O6 was simulated for Cu Kα X-rays.
Intensities are scaled so that the largest is 100.

Main lines, by angle (2θ = 15–90°):
2θ (°)  d_spacing  intensity  h k l
17.08  5.192  57  0 0 1
20.20  4.397  33  1 1 -1
27.64  3.227  100  0 2 0
27.87  3.201  53  1 1 1
29.75  3.003  70  2 0 -2
30.21  2.959  88  3 1 -1
34.25  2.618  66  3 1 0
41.05  2.199  88  2 2 -2

Structural model:
```
data_YMgSbPb2O6
_chemical_formula_sum 'Y2 Mg2 Sb2 Pb4 O12'
_cell_length_a 9.9973
_cell_length_b 6.4545
_cell_length_c 6.0414
_cell_angle_alpha 90.00
_cell_angle_beta 120.75
_cell_angle_gamma 90.00
_space_group_name_H-M_alt 'C 1 2/m 1'
_space_group_IT_number 12
loop_
_space_group_symop_operation_xyz
'x,y,z'
'-x,-y,-z'
'-x,y,-z'
'x,-y,z'
'x+1/2,y+1/2,z'
'-x+1/2,-y+1/2,-z'
'-x+1/2,y+1/2,-z'
'x+1/2,-y+1/2,z'
loop_
_atom_site_label
_atom_site_fract_x
_atom_site_fract_y
_atom_site_fract_z
Y1 0.0000 0.0000 0.0000
Mg1 0.0000 0.5000 0.0000
Sb1 0.0000 0.5000 0.5000
Pb1 0.1753 0.0000 0.6421
O1 0.0138 0.2864 0.7647
O2 0.2380 0.5000 0.6792
```


Starting from the PBE geometry in the Materials Project, the powder diffraction line list of KBaBP2O8 was simulated for Cu Kα X-rays.
Intensities are scaled so that the largest is 100.

Main lines, by angle (2θ = 15–90°):
2θ (°)  d_spacing  intensity  h k l
24.43  3.644  100  0 0 2
28.05  3.181  86  1 3 0
33.21  2.698  41  1 1 -3
34.69  2.586  21  2 2 1
34.97  2.566  21  2 2 -3
39.13  2.302  21  2 4 -1
41.49  2.177  25  1 3 2
45.37  1.999  28  5 1 -3

Structural model:
```
data_KBaBP2O8
_chemical_formula_sum 'K4 Ba4 B4 P8 O32'
_cell_length_a 10.3007
_cell_length_b 10.2930
_cell_length_c 8.8814
_cell_angle_alpha 90.00
_cell_angle_beta 124.81
_cell_angle_gamma 90.00
_space_group_name_H-M_alt 'C 1 c 1'
_space_group_IT_number 9
loop_
_space_group_symop_operation_xyz
'x,y,z'
'x,-y,z+1/2'
'x+1/2,y+1/2,z'
'x+1/2,-y+1/2,z+1/2'
loop_
_atom_site_label
_atom_site_fract_x
_atom_site_fract_y
_atom_site_fract_z
K1 0.0000 0.0692 0.0000
Ba1 0.1148 0.3164 0.5007
B1 0.4299 0.1276 0.2502
P1 0.2536 0.3247 0.9988
P2 0.3544 0.0758 0.5014
O1 0.0719 0.2910 0.8553
O2 0.1783 0.0622 0.4108
O3 0.2786 0.4580 0.0847
O4 0.2944 0.2140 0.1434
O5 0.3401 0.3057 0.9057
O6 0.3998 0.0442 0.3613
O7 0.4184 0.2063 0.5993
O8 0.4575 0.0391 0.1402
```


Starting from the PBE geometry in the Materials Project, the powder diffraction line list of CeNdC4 was simulated for Cu Kα X-rays.
Intensities are scaled so that the largest is 100.

Main lines, by angle (2θ = 15–90°):
2θ (°)  d_spacing  intensity  h k l
27.24  3.274  100  1 0 1
27.88  3.200  34  0 0 2
33.26  2.694  53  1 1 0
43.93  2.061  39  1 1 2
48.93  1.862  29  1 0 3
55.84  1.646  30  2 1 1
56.19  1.637  19  2 0 2
70.77  1.331  19  2 1 3

Structural model:
```
data_CeNdC4
_chemical_formula_sum 'Ce1 Nd1 C4'
_cell_length_a 3.8097
_cell_length_b 3.8097
_cell_length_c 6.4009
_cell_angle_alpha 90.00
_cell_angle_beta 90.00
_cell_angle_gamma 90.00
_space_group_name_H-M_alt 'P 4/m m m'
_space_group_IT_number 123
_space_group_name_Hall '-P 4 2'
loop_
_atom_site_label
_atom_site_fract_x
_atom_site_fract_y
_atom_site_fract_z
Ce1 0.0000 0.0000 0.0000
Nd1 0.5000 0.5000 0.5000
C1 0.0000 0.0000 0.3983
C2 0.5000 0.5000 0.1018
```